Entry 1:
Pu2OsO11: simulated powder X-ray diffraction pattern (Cu Kα X-rays), based on DFT lattice parameters and positions (PBE).
Peak positions follow from Bragg's law for the DFT cell and can differ from measured ones.

Largest 6 diffraction maxima, in order of rising 2θ, 5 to 70 degrees two-theta:
9.2 deg, I 91, hkl 0 0 2; 15.8 deg, I 87, hkl 0 2 2; 18.5 deg, I 100, hkl 0 0 4; 23.2 deg, I 96, hkl 1 1 2; 27.4 deg, I 54, hkl 0 4 2; 28.1 deg, I 46, hkl 1 3 0

Structure:
Unit cell a=4.3760 b=13.8139 c=19.2294 alpha=90.00 beta=90.00 gamma=90.00
Space group Ibam (No. 72)
Symmetry-distinct sites (fractional):
Pu: 0.1076 0.1478 0.0000 [8 per cell]
Os: 0.0000 0.5000 0.2500 [4 per cell]
O: 0.0000 0.0000 0.0000 [4 per cell]
O: 0.1218 0.1470 0.0919 [16 per cell]
O: 0.1225 0.3047 0.0000 [8 per cell]
O: 0.2257 0.4277 0.1981 [16 per cell]

Entry 2:
Rb2Pu3OsO12: simulated powder X-ray diffraction pattern (Cu Kα X-rays), based on DFT lattice parameters and positions (PBE).
Peak positions follow from Bragg's law for the DFT cell and can differ from measured ones.

Largest 6 diffraction maxima, in order of rising 2θ, 5 to 70 degrees two-theta:
14.0 deg, I 82, hkl 1 0 1; 26.9 deg, I 57, hkl 0 2 1; 27.1 deg, I 87, hkl 1 1 3; 27.4 deg, I 43, hkl 0 1 5; 28.2 deg, I 100, hkl 2 0 2; 46.7 deg, I 40, hkl 2 2 0

Structure:
Unit cell a=7.7865 b=7.7865 c=18.5710 alpha=90.00 beta=90.00 gamma=120.00
Space group R-3m (No. 166, hexagonal axes)
Symmetry-distinct sites (fractional):
Rb: 0.0000 0.0000 0.1249 [6 per cell]
Pu: 0.0000 0.5000 0.0000 [9 per cell]
Os: 0.0000 0.0000 0.5000 [3 per cell]
O: 0.0758 0.5379 0.3595 [18 per cell]
O: 0.0975 0.5488 0.1088 [18 per cell]

Entry 3:
RbOsO4: simulated powder X-ray diffraction pattern (Cu Kα X-rays), based on DFT lattice parameters and positions (PBE).
Peak positions follow from Bragg's law for the DFT cell and can differ from measured ones.

Largest 6 diffraction maxima, in order of rising 2θ, 5 to 70 degrees two-theta:
17.7 deg, I 36, hkl 1 1 0; 22.8 deg, I 44, hkl 0 0 2; 24.5 deg, I 86, hkl 0 2 1; 25.3 deg, I 35, hkl 0 1 2; 25.7 deg, I 100, hkl 2 1 -2; 40.5 deg, I 30, hkl 2 3 -1

Structure:
Unit cell a=7.8957 b=8.2192 c=9.7763 alpha=90.00 beta=126.94 gamma=90.00
Space group P2_1/c (No. 14)
Symmetry-distinct sites (fractional):
Rb: 0.1739 0.1553 0.2797 [4 per cell]
Os: 0.3064 0.6666 0.1900 [4 per cell]
O: 0.1179 0.6753 0.6132 [4 per cell]
O: 0.2097 0.5122 0.2520 [4 per cell]
O: 0.3211 0.6277 0.0194 [4 per cell]
O: 0.4279 0.2002 0.1335 [4 per cell]

Entry 4:
Rb5OsO5: simulated powder X-ray diffraction pattern (Cu Kα X-rays), based on DFT lattice parameters and positions (PBE).
Peak positions follow from Bragg's law for the DFT cell and can differ from measured ones.

Largest 6 diffraction maxima, in order of rising 2θ, 5 to 70 degrees two-theta:
11.1 deg, I 73, hkl 0 0 1; 26.6 deg, I 87, hkl 1 1 -2; 27.3 deg, I 100, hkl 3 1 0; 28.5 deg, I 68, hkl 0 2 0; 29.0 deg, I 41, hkl 2 0 2; 41.1 deg, I 30, hkl 2 2 2

Structure:
Unit cell a=11.6202 b=6.2560 c=8.0924 alpha=90.00 beta=98.33 gamma=90.00
Space group C2 (No. 5)
Symmetry-distinct sites (fractional):
Rb: 0.0000 0.0000 0.0000 [2 per cell]
Rb: 0.1633 0.4929 0.7622 [4 per cell]
Rb: 0.1800 0.4878 0.3471 [4 per cell]
Os: 0.0000 0.9568 0.5000 [2 per cell]
O: 0.0000 0.6616 0.5000 [2 per cell]
O: 0.0854 0.0936 0.6796 [4 per cell]
O: 0.1366 0.9579 0.3765 [4 per cell]

Entry 5:
Rb4OsO5: simulated powder X-ray diffraction pattern (Cu Kα X-rays), based on DFT lattice parameters and positions (PBE).
Peak positions follow from Bragg's law for the DFT cell and can differ from measured ones.

Largest 6 diffraction maxima, in order of rising 2θ, 5 to 70 degrees two-theta:
18.5 deg, I 22, hkl 1 0 1; 27.9 deg, I 100, hkl 1 2 1; 30.9 deg, I 26, hkl 0 0 2; 33.0 deg, I 45, hkl 3 1 0; 45.9 deg, I 31, hkl 3 1 2; 55.9 deg, I 34, hkl 5 0 1

Structure:
Unit cell a=8.5721 b=8.5721 c=5.7890 alpha=90.00 beta=90.00 gamma=90.00
Space group I4 (No. 79)
Symmetry-distinct sites (fractional):
Rb: 0.1085 0.7041 0.0000 [8 per cell]
Os: 0.0000 0.0000 0.5498 [2 per cell]
O: 0.0000 0.0000 0.8656 [2 per cell]
O: 0.0670 0.7891 0.4830 [8 per cell]

Entry 6:
RbOsO6: simulated powder X-ray diffraction pattern (Cu Kα X-rays), based on DFT lattice parameters and positions (PBE).
Peak positions follow from Bragg's law for the DFT cell and can differ from measured ones.

Largest 6 diffraction maxima, in order of rising 2θ, 5 to 70 degrees two-theta:
16.1 deg, I 34, hkl 1 1 1; 18.6 deg, I 100, hkl 2 0 0; 26.4 deg, I 55, hkl 2 2 0; 37.6 deg, I 20, hkl 4 0 0; 42.3 deg, I 39, hkl 4 2 0; 46.5 deg, I 20, hkl 4 2 2

Structure:
Unit cell a=9.5601 b=9.5601 c=9.5601 alpha=90.00 beta=90.00 gamma=90.00
Space group Fm-3m (No. 225)
Symmetry-distinct sites (fractional):
Rb: 0.0000 0.0000 0.0000 [4 per cell]
Os: 0.0000 0.0000 0.5000 [4 per cell]
O: 0.0000 0.0000 0.3070 [24 per cell]